# 1
Computed powder XRD pattern
Compound: Y3Cr
Radiation: Cu Kα
Structure: the GGA-PBE geometry in Alexandria
No peak broadening, texture or thermal motion is included.

Atomic structure:
```
4
Lattice="-1.863 2.692 5.541 1.863 -2.692 5.541 1.863 2.692 -5.541" Properties=species:S:1:pos:R:3 pbc="T T T"
Y 0.000 0.000 0.000
Y 1.863 0.000 3.196
Y 0.000 2.692 2.345
Cr 0.000 0.000 5.541
```

Top 10 peaks for 2θ = 10–80°, by intensity:
- 2θ = 33.4°, intensity 100
- 2θ = 33.3°, intensity 29
- 2θ = 29.3°, intensity 19
- 2θ = 32.3°, intensity 18
- 2θ = 59.6°, intensity 18
- 2θ = 47.1°, intensity 12
- 2θ = 60.4°, intensity 10
- 2θ = 48.9°, intensity 9
- 2θ = 59.4°, intensity 9
- 2θ = 47.7°, intensity 8

***

# 2
Computed powder XRD pattern
Compound: Cs6Tl2O
Radiation: Cu Kα
Structure: the GGA-PBE geometry in Alexandria
No peak broadening, texture or thermal motion is included.

Atomic structure:
```
9
Lattice="4.515 2.607 8.434 -4.515 2.607 8.434 0.000 -5.214 8.434" Properties=species:S:1:pos:R:3 pbc="T T T"
Cs -2.286 -0.607 8.434
Cs -1.429 -3.326 13.333
Cs 1.669 -1.677 8.434
Cs -2.166 2.901 13.333
Cs 0.618 2.283 8.434
Cs 3.595 0.425 13.333
Tl 0.000 0.000 1.634
Tl 0.000 0.000 24.066
O 0.000 0.000 6.743
```

Top 10 peaks for 2θ = 10–80°, by intensity:
- 2θ = 11.8°, intensity 100
- 2θ = 22.3°, intensity 80
- 2θ = 23.8°, intensity 78
- 2θ = 30.5°, intensity 64
- 2θ = 29.0°, intensity 48
- 2θ = 23.0°, intensity 37
- 2θ = 37.7°, intensity 31
- 2θ = 41.8°, intensity 29
- 2θ = 10.5°, intensity 28
- 2θ = 35.2°, intensity 26

***

# 3
Computed powder XRD pattern
Compound: RbTiCd2O4
Radiation: Cu Kα
Structure: the GGA-PBE geometry in Alexandria
No peak broadening, texture or thermal motion is included.

Atomic structure:
```
8
Lattice="-2.951 2.951 3.976 2.951 -2.951 3.976 2.951 2.951 -3.976" Properties=species:S:1:pos:R:3 pbc="T T T"
Rb 0.000 0.000 0.000
Ti 0.000 0.000 3.976
Cd 2.951 0.000 1.988
Cd 0.000 2.951 1.988
O 1.890 1.890 -1.085
O 1.061 -1.061 5.061
O 1.061 1.061 2.891
O -1.061 1.061 5.061
```

Top 10 peaks for 2θ = 10–80°, by intensity:
- 2θ = 31.1°, intensity 100
- 2θ = 30.3°, intensity 41
- 2θ = 54.3°, intensity 39
- 2θ = 43.4°, intensity 22
- 2θ = 55.7°, intensity 21
- 2θ = 64.8°, intensity 10
- 2θ = 71.5°, intensity 8
- 2θ = 71.9°, intensity 8
- 2θ = 75.2°, intensity 7
- 2θ = 21.3°, intensity 6

***

# 4
Computed powder XRD pattern
Compound: SmDy6Th4
Radiation: Cu Kα
Structure: the GGA-PBE geometry in Alexandria
No peak broadening, texture or thermal motion is included.

Atomic structure:
```
11
Lattice="-1.719 2.935 17.861 1.719 -2.935 17.861 1.719 2.935 -17.861" Properties=species:S:1:pos:R:3 pbc="T T T"
Sm 0.000 0.000 0.000
Dy 1.719 0.000 3.448
Dy 1.719 0.000 9.547
Dy 1.719 0.000 13.168
Dy 0.000 2.935 4.693
Dy 0.000 2.935 8.314
Dy 0.000 2.935 14.413
Th 0.000 0.000 6.518
Th 0.000 0.000 16.283
Th 0.000 0.000 19.439
Th 0.000 0.000 29.203
```

Top 10 peaks for 2θ = 10–80°, by intensity:
- 2θ = 31.5°, intensity 100
- 2θ = 30.5°, intensity 71
- 2θ = 36.4°, intensity 45
- 2θ = 33.8°, intensity 39
- 2θ = 27.0°, intensity 29
- 2θ = 63.2°, intensity 28
- 2θ = 54.8°, intensity 21
- 2θ = 28.8°, intensity 19
- 2θ = 41.1°, intensity 19
- 2θ = 31.8°, intensity 16

***

# 5
Computed powder XRD pattern
Compound: IrCI2
Radiation: Cu Kα
Structure: the GGA-PBE geometry in Alexandria
No peak broadening, texture or thermal motion is included.

Atomic structure:
```
8
Lattice="-2.858 2.858 6.085 2.858 -2.858 6.085 2.858 2.858 -6.085" Properties=species:S:1:pos:R:3 pbc="T T T"
Ir 0.000 0.000 0.000
Ir 0.000 2.858 3.043
C 2.858 0.000 3.043
C 0.000 0.000 6.085
I 1.429 -1.343 4.564
I 1.515 1.429 1.521
I 1.429 4.201 -1.521
I 1.343 1.429 7.607
```

Top 10 peaks for 2θ = 10–80°, by intensity:
- 2θ = 26.5°, intensity 100
- 2θ = 43.4°, intensity 51
- 2θ = 17.1°, intensity 34
- 2θ = 52.8°, intensity 29
- 2θ = 44.9°, intensity 23
- 2θ = 27.0°, intensity 17
- 2θ = 35.9°, intensity 17
- 2θ = 50.3°, intensity 17
- 2θ = 69.7°, intensity 12
- 2θ = 78.7°, intensity 9

***

# 6
Computed powder XRD pattern
Compound: Hf4Sn3H
Radiation: Cu Kα
Structure: the GGA-PBE geometry in Alexandria
No peak broadening, texture or thermal motion is included.

Atomic structure:
```
16
Lattice="8.480 0.000 0.000 0.000 7.495 0.000 0.000 0.000 5.517" Properties=species:S:1:pos:R:3 pbc="T T T"
Hf 0.000 0.646 0.000
Hf 0.000 6.318 3.192
Hf 1.562 1.419 2.810
Hf 2.678 6.076 0.052
Hf 4.240 1.177 0.433
Hf 4.240 6.849 2.758
Hf 5.802 6.076 0.052
Hf 6.919 1.419 2.810
Sn 0.000 5.226 0.490
Sn 1.849 2.963 0.009
Sn 2.391 4.532 2.768
Sn 4.240 2.269 3.248
Sn 6.090 4.532 2.768
Sn 6.631 2.963 0.009
H 0.000 0.435 2.012
H 4.240 7.060 4.770
```

Top 10 peaks for 2θ = 10–80°, by intensity:
- 2θ = 35.9°, intensity 100
- 2θ = 32.5°, intensity 52
- 2θ = 33.9°, intensity 31
- 2θ = 39.6°, intensity 26
- 2θ = 24.1°, intensity 21
- 2θ = 47.6°, intensity 20
- 2θ = 41.1°, intensity 19
- 2θ = 69.1°, intensity 19
- 2θ = 60.1°, intensity 14
- 2θ = 11.8°, intensity 13

***

# 7
Computed powder XRD pattern
Compound: BC3
Radiation: Cu Kα
Structure: the GGA-PBE geometry in Alexandria
No peak broadening, texture or thermal motion is included.

Atomic structure:
```
12
Lattice="3.642 0.000 0.000 0.022 3.735 0.000 1.680 -0.007 5.493" Properties=species:S:1:pos:R:3 pbc="T T T"
B 0.000 0.000 0.000
B 1.132 2.525 1.185
B 2.747 2.640 2.838
C 0.924 0.787 2.866
C 1.811 1.709 3.791
C 1.854 3.695 1.921
C 2.755 0.814 4.661
C 1.946 1.734 0.060
C 2.784 0.822 1.074
C 3.691 3.629 3.796
C 3.691 1.681 1.964
C 4.540 2.608 4.669
```

Top 10 peaks for 2θ = 10–80°, by intensity:
- 2θ = 43.0°, intensity 100
- 2θ = 42.9°, intensity 86
- 2θ = 42.3°, intensity 86
- 2θ = 42.1°, intensity 85
- 2θ = 72.2°, intensity 70
- 2θ = 72.3°, intensity 24
- 2θ = 72.8°, intensity 21
- 2θ = 74.4°, intensity 20
- 2θ = 23.8°, intensity 14
- 2θ = 26.0°, intensity 7

***

# 8
Computed powder XRD pattern
Compound: Sr2CuCO5
Radiation: Cu Kα
Structure: the GGA-PBE geometry in Alexandria
No peak broadening, texture or thermal motion is included.

Atomic structure:
```
9
Lattice="3.696 0.000 0.000 0.000 7.554 0.000 0.000 0.000 4.377" Properties=species:S:1:pos:R:3 pbc="T T T"
Sr 0.000 1.715 0.000
Sr 0.000 5.839 0.000
Cu 1.848 0.000 2.180
C 1.848 3.777 2.083
O 0.000 0.000 2.317
O 1.848 0.000 0.117
O 1.848 2.636 2.701
O 1.848 3.777 0.779
O 1.848 4.918 2.701
```

Top 10 peaks for 2θ = 10–80°, by intensity:
- 2θ = 31.7°, intensity 100
- 2θ = 33.9°, intensity 99
- 2θ = 31.3°, intensity 99
- 2θ = 11.7°, intensity 55
- 2θ = 54.4°, intensity 40
- 2θ = 39.9°, intensity 35
- 2θ = 41.3°, intensity 33
- 2θ = 59.6°, intensity 30
- 2θ = 49.3°, intensity 26
- 2θ = 66.2°, intensity 25

***

# 9
Computed powder XRD pattern
Compound: KNa2Si2Au2
Radiation: Cu Kα
Structure: the GGA-PBE geometry in Alexandria
No peak broadening, texture or thermal motion is included.

Atomic structure:
```
7
Lattice="4.080 -2.432 0.000 4.080 2.432 0.000 -2.607 0.000 8.413" Properties=species:S:1:pos:R:3 pbc="T T T"
K 0.000 0.000 0.000
Na 0.012 0.000 3.343
Na 5.542 0.000 5.070
Si 2.776 0.000 2.942
Si 2.777 0.000 5.470
Au 0.179 0.000 6.098
Au 5.374 0.000 2.315
```

Top 10 peaks for 2θ = 10–80°, by intensity:
- 2θ = 25.5°, intensity 100
- 2θ = 22.5°, intensity 76
- 2θ = 37.9°, intensity 63
- 2θ = 35.8°, intensity 62
- 2θ = 21.1°, intensity 54
- 2θ = 26.2°, intensity 42
- 2θ = 22.8°, intensity 37
- 2θ = 37.0°, intensity 35
- 2θ = 41.7°, intensity 26
- 2θ = 43.0°, intensity 24

***

# 10
Computed powder XRD pattern
Compound: ErZrHg6
Radiation: Cu Kα
Structure: the GGA-PBE geometry in Alexandria
No peak broadening, texture or thermal motion is included.

Atomic structure:
```
8
Lattice="4.665 0.000 0.000 0.000 4.665 0.000 0.000 0.000 8.481" Properties=species:S:1:pos:R:3 pbc="T T T"
Er 0.000 0.000 0.000
Zr 0.000 0.000 4.241
Hg 0.000 2.332 2.184
Hg 0.000 2.332 6.298
Hg 2.332 0.000 2.184
Hg 2.332 0.000 6.298
Hg 2.332 2.332 0.000
Hg 2.332 2.332 4.241
```

Top 10 peaks for 2θ = 10–80°, by intensity:
- 2θ = 34.4°, intensity 100
- 2θ = 38.6°, intensity 37
- 2θ = 67.2°, intensity 29
- 2θ = 58.9°, intensity 21
- 2θ = 42.6°, intensity 14
- 2θ = 55.7°, intensity 13
- 2θ = 72.6°, intensity 12
- 2θ = 72.8°, intensity 11
- 2θ = 19.0°, intensity 2
- 2θ = 28.4°, intensity 2

***

# 11
Computed powder XRD pattern
Compound: Pm4HoAl2
Radiation: Cu Kα
Structure: the GGA-PBE geometry in Alexandria
No peak broadening, texture or thermal motion is included.

Atomic structure:
```
7
Lattice="4.689 -4.522 0.000 4.689 4.522 0.000 -4.636 0.000 4.705" Properties=species:S:1:pos:R:3 pbc="T T T"
Pm 1.104 1.712 1.099
Pm 1.104 -1.712 1.099
Pm 3.638 1.712 3.606
Pm 3.638 -1.712 3.606
Ho -2.318 0.000 2.352
Al 0.937 0.000 3.799
Al 3.805 0.000 0.906
```

Top 10 peaks for 2θ = 10–80°, by intensity:
- 2θ = 32.6°, intensity 100
- 2θ = 27.0°, intensity 80
- 2θ = 33.3°, intensity 73
- 2θ = 31.6°, intensity 66
- 2θ = 59.8°, intensity 36
- 2θ = 43.4°, intensity 26
- 2θ = 43.5°, intensity 25
- 2θ = 65.4°, intensity 23
- 2θ = 51.4°, intensity 23
- 2θ = 42.7°, intensity 22

***

# 12
Computed powder XRD pattern
Compound: PaNb4O12
Radiation: Cu Kα
Structure: the GGA-PBE geometry in Alexandria
No peak broadening, texture or thermal motion is included.

Atomic structure:
```
17
Lattice="-3.965 3.965 3.808 3.965 -3.965 3.808 3.965 3.965 -3.808" Properties=species:S:1:pos:R:3 pbc="T T T"
Pa 0.000 0.000 0.000
Nb 1.982 1.982 -1.904
Nb 1.982 -1.982 1.904
Nb -1.982 1.982 1.904
Nb 1.982 1.982 1.904
O 3.965 -2.079 2.398
O 1.886 0.000 1.410
O 6.043 0.000 1.410
O 2.328 2.328 0.000
O 1.637 -1.637 3.808
O 0.000 1.886 1.410
O 3.965 2.079 2.398
O -1.637 1.637 3.808
O 1.637 1.637 3.808
O -2.079 3.965 2.398
O 2.079 3.965 2.398
O 0.000 6.043 1.410
```

Top 10 peaks for 2θ = 10–80°, by intensity:
- 2θ = 32.6°, intensity 100
- 2θ = 16.1°, intensity 100
- 2θ = 15.8°, intensity 55
- 2θ = 31.9°, intensity 48
- 2θ = 27.7°, intensity 46
- 2θ = 57.3°, intensity 45
- 2θ = 45.8°, intensity 37
- 2θ = 58.6°, intensity 26
- 2θ = 43.9°, intensity 25
- 2θ = 28.3°, intensity 23

***

# 13
Computed powder XRD pattern
Compound: Pm3Pr3Th
Radiation: Cu Kα
Structure: the GGA-PBE geometry in Alexandria
No peak broadening, texture or thermal motion is included.

Atomic structure:
```
14
Lattice="3.165 1.827 14.611 -3.165 1.827 14.611 0.000 -3.654 14.611" Properties=species:S:1:pos:R:3 pbc="T T T"
Pm -1.054 -1.832 20.444
Pm -2.114 -0.003 23.390
Pm -1.059 1.829 20.444
Pm 1.059 -1.829 23.390
Pm 2.114 0.003 20.444
Pm 1.054 1.832 23.390
Pr -2.112 0.003 17.427
Pr -1.059 -1.828 26.407
Pr 1.053 -1.831 17.427
Pr -1.053 1.831 26.407
Pr 1.059 1.828 17.427
Pr 2.112 -0.003 26.407
Th 0.000 0.000 14.613
Th 0.000 0.000 29.221
```

Top 10 peaks for 2θ = 10–80°, by intensity:
- 2θ = 30.8°, intensity 100
- 2θ = 33.8°, intensity 68
- 2θ = 30.6°, intensity 42
- 2θ = 59.7°, intensity 38
- 2θ = 49.9°, intensity 33
- 2θ = 28.9°, intensity 30
- 2θ = 52.5°, intensity 25
- 2θ = 37.6°, intensity 20
- 2θ = 59.8°, intensity 15
- 2θ = 61.6°, intensity 13

***

# 14
Computed powder XRD pattern
Compound: Pr4CuTe3
Radiation: Cu Kα
Structure: the GGA-PBE geometry in Alexandria
No peak broadening, texture or thermal motion is included.

Atomic structure:
```
8
Lattice="4.556 -6.335 0.000 4.556 6.335 0.000 0.000 0.000 4.373" Properties=species:S:1:pos:R:3 pbc="T T T"
Pr 2.093 0.000 2.186
Pr 4.556 3.252 0.000
Pr 4.556 -3.252 0.000
Pr 7.019 0.000 2.186
Cu 0.000 0.000 0.000
Te 2.278 3.167 2.186
Te 2.278 -3.167 2.186
Te 4.556 0.000 0.000
```

Top 10 peaks for 2θ = 10–80°, by intensity:
- 2θ = 28.3°, intensity 100
- 2θ = 40.4°, intensity 76
- 2θ = 28.2°, intensity 51
- 2θ = 49.3°, intensity 20
- 2θ = 50.7°, intensity 20
- 2θ = 39.6°, intensity 19
- 2θ = 41.3°, intensity 18
- 2θ = 66.0°, intensity 17
- 2θ = 66.2°, intensity 16
- 2θ = 74.6°, intensity 12